[1]
Theoretical powder X-ray diffraction pattern of ScBeCoSn for Cu Ka, from a structure optimized by DFT (PBE).
Neutral-atom scattering factors, no anomalous dispersion.

Structural model:
```
data_ScBeCoSn
_space_group_name_H-M_alt 'F -4 3 m'
_space_group_IT_number 216
_space_group_name_Hall 'F -4 2 3'
_cell_length_a 6.1752
_cell_length_b 6.1752
_cell_length_c 6.1752
_cell_angle_alpha 90.00
_cell_angle_beta 90.00
_cell_angle_gamma 90.00
loop_
_atom_site_label
_atom_site_type_symbol
_atom_site_fract_x
_atom_site_fract_y
_atom_site_fract_z
Sc1 Sc 0.0000 0.0000 0.0000
Be1 Be 0.2500 0.2500 0.2500
Co1 Co 0.2500 0.2500 0.7500
Sn1 Sn 0.0000 0.0000 0.5000
```

The 8 most intense peaks (5 to 70 degrees two-theta), sorted by position:
2θ (°)  Rel. int.  index
25.0  40  1 1 1
28.9  23  2 0 0
41.4  100  2 2 0
48.9  21  3 1 1
51.2  7  2 2 2
59.9  16  4 0 0
65.9  9  3 3 1
67.9  9  4 2 0

[2]
Theoretical powder X-ray diffraction pattern of BeCoTc for Cu Ka, from a structure optimized by DFT (PBE).
Neutral-atom scattering factors, no anomalous dispersion.

Structural model:
```
data_BeCoTc
_space_group_name_H-M_alt 'I m m a'
_space_group_IT_number 74
_space_group_name_Hall '-I 2b 2'
_cell_length_a 4.4524
_cell_length_b 4.6144
_cell_length_c 6.1931
_cell_angle_alpha 90.00
_cell_angle_beta 90.00
_cell_angle_gamma 90.00
loop_
_atom_site_label
_atom_site_type_symbol
_atom_site_fract_x
_atom_site_fract_y
_atom_site_fract_z
Be1 Be 0.2500 0.2500 0.2500
Co1 Co 0.0000 0.0000 0.0000
Tc1 Tc 0.0000 0.2500 0.6215
```

The 10 most intense peaks (5 to 70 degrees two-theta), sorted by position:
2θ (°)  Rel. int.  index
24.1  49  0 1 1
28.8  14  0 0 2
40.5  100  2 0 0
46.7  73  1 2 1
47.7  22  2 1 1
48.3  12  0 1 3
48.6  29  1 0 3
49.3  7  0 2 2
50.5  8  2 0 2
64.8  7  2 1 3

[3]
Theoretical powder X-ray diffraction pattern of CsBeTe3Pd for Cu Ka, from a structure optimized by DFT (PBE).
Neutral-atom scattering factors, no anomalous dispersion.

Structural model:
```
data_CsBeTe3Pd
_space_group_name_H-M_alt 'C m c m'
_space_group_IT_number 63
_space_group_name_Hall '-C 2c 2'
_cell_length_a 4.1050
_cell_length_b 16.4335
_cell_length_c 11.4089
_cell_angle_alpha 90.00
_cell_angle_beta 90.00
_cell_angle_gamma 90.00
loop_
_atom_site_label
_atom_site_type_symbol
_atom_site_fract_x
_atom_site_fract_y
_atom_site_fract_z
Cs1 Cs 0.0000 0.2421 0.2500
Be1 Be 0.0000 0.0393 0.7500
Te1 Te 0.0000 0.1027 0.5534
Te2 Te 0.0000 0.4567 0.7500
Pd1 Pd 0.0000 0.5000 0.0000
```

The 10 most intense peaks (5 to 70 degrees two-theta), sorted by position:
2θ (°)  Rel. int.  index
10.8  69  0 2 0
18.9  48  0 2 2
25.8  53  0 2 3
26.7  38  0 4 2
27.1  54  1 3 0
28.3  100  1 3 1
31.4  44  0 0 4
38.5  62  1 5 2
48.6  51  1 3 5
50.8  44  1 7 3

Question: Which formula does entry 1 have?
Answer: ScBeCoSn